1.
# CdH10C2S2O8
Theoretical powder X-ray diffraction pattern, copper Kα. Input: a cell relaxed with GGA-PBE.
Lines closer than 0.1° are merged.

Structure:
Cell lengths 4.6274, 5.9890, 7.7881 Å; angles 89.64, 86.94, 85.25 degrees
Space group P-1 (No. 2)
Asymmetric unit:
Cd: 0.0000 0.0000 0.0000 x1
H: 0.0098 0.6214 0.7995 x2
H: 0.1218 0.6627 0.4278 x2
H: 0.1660 0.9572 0.3995 x2
H: 0.3211 0.3341 0.1333 x2
H: 0.4018 0.7878 0.5351 x2
C: 0.2767 0.7913 0.4198 x2
S: 0.4813 0.2640 0.7585 x2
O: 0.1530 0.2604 0.1803 x2
O: 0.2998 0.0718 0.7675 x2
O: 0.3170 0.4792 0.7285 x2
O: 0.3463 0.7231 0.0864 x2

The 10 most intense peaks (10 to 90 degrees two-theta), in order of falling intensity:
11.38°, d = 7.777 Å, intensity 100, (0 0 1)
18.72°, d = 4.739 Å, intensity 69, (0 1 1)
27.48°, d = 3.246 Å, intensity 39, (1 -1 1)
26.56°, d = 3.356 Å, intensity 33, (1 1 -1)
14.84°, d = 5.968 Å, intensity 31, (0 1 0)
27.38°, d = 3.258 Å, intensity 24, (0 1 -2)
30.87°, d = 2.896 Å, intensity 23, (1 0 -2)
32.16°, d = 2.783 Å, intensity 20, (1 1 2)
33.71°, d = 2.659 Å, intensity 20, (1 1 -2)
21.90°, d = 4.058 Å, intensity 19, (1 0 1)

---

2.
# CdH6C4S4O2
Theoretical powder X-ray diffraction pattern, copper Kα. Input: a cell relaxed with GGA-PBE.
Lines closer than 0.1° are merged.

Structure:
Cell lengths 19.1350, 3.9696, 12.4943 Å; angles 90.00, 108.38, 90.00 degrees
Space group C2/c (No. 15)
Asymmetric unit:
Cd: 0.2500 0.2500 0.0000 x4
H: 0.0090 0.1452 0.8697 x8
H: 0.0419 0.4657 0.1679 x8
H: 0.0862 0.1411 0.7198 x8
C: 0.0450 0.2659 0.6492 x8
C: 0.1278 0.3622 0.5433 x8
S: 0.1453 0.2886 0.4180 x8
S: 0.1841 0.4132 0.1508 x8
O: 0.0651 0.2262 0.5475 x8

The 10 most intense peaks (10 to 90 degrees two-theta), in order of falling intensity:
29.16°, d = 3.062 Å, intensity 100, (3 1 1)
14.94°, d = 5.929 Å, intensity 99, (0 0 2)
26.60°, d = 3.350 Å, intensity 32, (3 1 -1)
20.31°, d = 4.373 Å, intensity 31, (2 0 2)
30.37°, d = 2.943 Å, intensity 27, (4 0 -4)
38.31°, d = 2.350 Å, intensity 24, (3 1 3)
41.84°, d = 2.159 Å, intensity 24, (7 1 -3)
36.04°, d = 2.492 Å, intensity 20, (5 1 1)
37.38°, d = 2.406 Å, intensity 18, (6 0 2)
40.21°, d = 2.243 Å, intensity 16, (7 1 -1)

---

3.
# TmHfCdC
Theoretical powder X-ray diffraction pattern, copper Kα. Input: a cell relaxed with GGA-PBE.
Lines closer than 0.1° are merged.

Structure:
Cell lengths 3.3778, 3.3778, 15.6677 Å; angles 90.00, 90.00, 120.00 degrees
Space group P-6m2 (No. 187)
Asymmetric unit:
Tm: 0.0000 0.0000 0.1713 x2
Hf: 0.6667 0.3333 0.3367 x2
Cd: 0.0000 0.0000 0.5000 x1
Cd: 0.6667 0.3333 0.0000 x1
C: 0.3333 0.6667 0.2647 x2

The 10 most intense peaks (10 to 90 degrees two-theta), in order of falling intensity:
35.16°, d = 2.552 Å, intensity 100, (1 0 3)
34.34°, d = 2.611 Å, intensity 22, (0 0 6)
30.56°, d = 2.925 Å, intensity 22, (1 0 0)
65.86°, d = 1.418 Å, intensity 20, (1 1 6)
54.32°, d = 1.689 Å, intensity 20, (1 1 0)
62.04°, d = 1.496 Å, intensity 19, (1 0 9)
46.62°, d = 1.948 Å, intensity 16, (1 0 6)
66.37°, d = 1.408 Å, intensity 16, (2 0 3)
11.30°, d = 7.834 Å, intensity 8, (0 0 2)
87.01°, d = 1.120 Å, intensity 7, (2 0 9)

---

4.
# K2CdC4N4
Theoretical powder X-ray diffraction pattern, copper Kα. Input: a cell relaxed with GGA-PBE.
Lines closer than 0.1° are merged.

Structure:
Cell lengths 12.7056, 12.7056, 12.7056 Å; angles 90.00, 90.00, 90.00 degrees
Space group Fd-3m (No. 227, origin choice 2)
Asymmetric unit:
K: 0.0000 0.0000 0.0000 x16
Cd: 0.1250 0.1250 0.6250 x8
C: 0.0254 0.0254 0.7246 x32
N: 0.0279 0.0279 0.2221 x32

The 10 most intense peaks (10 to 90 degrees two-theta), in order of falling intensity:
23.22°, d = 3.831 Å, intensity 100, (3 1 1)
19.76°, d = 4.492 Å, intensity 80, (2 2 0)
40.15°, d = 2.246 Å, intensity 50, (4 4 0)
36.76°, d = 2.445 Å, intensity 42, (5 1 1)
34.58°, d = 2.594 Å, intensity 27, (4 2 2)
55.56°, d = 1.654 Å, intensity 24, (5 5 3)
54.01°, d = 1.698 Å, intensity 22, (6 4 2)
46.89°, d = 1.938 Å, intensity 15, (5 3 3)
63.40°, d = 1.467 Å, intensity 12, (5 5 5)
61.97°, d = 1.497 Å, intensity 12, (6 6 0)

---

5.
# Lu4CdC2S
Theoretical powder X-ray diffraction pattern, copper Kα. Input: a cell relaxed with GGA-PBE.
Lines closer than 0.1° are merged.

Structure:
Cell lengths 3.5597, 3.5597, 14.1862 Å; angles 90.00, 90.00, 120.00 degrees
Space group P-6m2 (No. 187)
Asymmetric unit:
Lu: 0.0000 0.0000 0.1302 x2
Lu: 0.3333 0.6667 0.3124 x2
Cd: 0.0000 0.0000 0.5000 x1
C: 0.6667 0.3333 0.2233 x2
S: 0.3333 0.6667 0.0000 x1

The 10 most intense peaks (10 to 90 degrees two-theta), in order of falling intensity:
34.74°, d = 2.582 Å, intensity 100, (1 0 3)
28.96°, d = 3.083 Å, intensity 32, (1 0 0)
51.33°, d = 1.780 Å, intensity 30, (1 1 0)
60.20°, d = 1.537 Å, intensity 22, (1 0 8)
31.65°, d = 2.827 Å, intensity 22, (1 0 2)
61.51°, d = 1.507 Å, intensity 20, (1 1 5)
31.53°, d = 2.837 Å, intensity 18, (0 0 5)
63.48°, d = 1.465 Å, intensity 17, (2 0 3)
85.91°, d = 1.131 Å, intensity 15, (2 1 3)
43.34°, d = 2.088 Å, intensity 13, (1 0 5)

---

6.
# Tm3LuCd2C2
Theoretical powder X-ray diffraction pattern, copper Kα. Input: a cell relaxed with GGA-PBE.
Lines closer than 0.1° are merged.

Structure:
Cell lengths 3.5010, 3.5010, 16.2163 Å; angles 90.00, 90.00, 120.00 degrees
Space group P3m1 (No. 156)
Asymmetric unit:
Tm: 0.0000 0.0000 0.0000 x1
Tm: 0.0000 0.0000 0.3361 x1
Tm: 0.6667 0.3333 0.8354 x1
Lu: 0.6667 0.3333 0.4991 x1
Cd: 0.0000 0.0000 0.6672 x1
Cd: 0.6667 0.3333 0.1677 x1
C: 0.3333 0.6667 0.4183 x1
C: 0.3333 0.6667 0.9177 x1

The 10 most intense peaks (10 to 90 degrees two-theta), in order of falling intensity:
33.90°, d = 2.644 Å, intensity 100, (1 0 3)
33.15°, d = 2.703 Å, intensity 22, (0 0 6)
29.46°, d = 3.032 Å, intensity 22, (1 0 0)
63.30°, d = 1.469 Å, intensity 21, (1 1 6)
52.26°, d = 1.751 Å, intensity 20, (1 1 0)
59.70°, d = 1.549 Å, intensity 19, (1 0 9)
44.93°, d = 2.018 Å, intensity 16, (0 1 6)
63.76°, d = 1.460 Å, intensity 16, (0 2 3)
86.89°, d = 1.121 Å, intensity 14, (2 1 3)
10.91°, d = 8.108 Å, intensity 8, (0 0 2)

---

7.
# CdMo3CN
Theoretical powder X-ray diffraction pattern, copper Kα. Input: a cell relaxed with GGA-PBE.
Lines closer than 0.1° are merged.

Structure:
Cell lengths 3.1046, 3.1046, 19.0976 Å; angles 90.00, 90.00, 120.00 degrees
Space group P-3m1 (No. 164)
Asymmetric unit:
Cd: 0.0000 0.0000 0.2472 x2
Mo: 0.0000 0.0000 0.0000 x1
Mo: 0.0000 0.0000 0.5000 x1
Mo: 0.3333 0.6667 0.1199 x2
Mo: 0.3333 0.6667 0.3752 x2
C: 0.3333 0.6667 0.5688 x2
N: 0.3333 0.6667 0.9353 x2

The 10 most intense peaks (10 to 90 degrees two-theta), in order of falling intensity:
38.43°, d = 2.343 Å, intensity 100, (0 1 4)
37.68°, d = 2.387 Å, intensity 26, (0 0 8)
59.56°, d = 1.552 Å, intensity 25, (1 1 0)
72.66°, d = 1.301 Å, intensity 23, (1 1 8)
33.66°, d = 2.662 Å, intensity 18, (1 0 1)
68.51°, d = 1.370 Å, intensity 16, (0 1 12)
73.13°, d = 1.294 Å, intensity 14, (2 0 4)
36.27°, d = 2.477 Å, intensity 14, (1 0 3)
41.05°, d = 2.199 Å, intensity 14, (1 0 5)
47.48°, d = 1.915 Å, intensity 10, (0 1 7)

---

8.
# RbCdC3S3N3
Theoretical powder X-ray diffraction pattern, copper Kα. Input: a cell relaxed with GGA-PBE.
Lines closer than 0.1° are merged.

Structure:
Cell lengths 5.7089, 13.1285, 13.4794 Å; angles 90.00, 110.78, 90.00 degrees
Space group P2_1/c (No. 14)
Asymmetric unit:
Rb: 0.0828 0.2183 0.2128 x4
Cd: 0.0000 0.0000 0.0000 x2
Cd: 0.5000 0.0000 0.5000 x2
C: 0.0758 0.5956 0.0937 x4
C: 0.3580 0.5566 0.7448 x4
C: 0.4945 0.6305 0.4891 x4
S: 0.2219 0.1767 0.9681 x4
S: 0.3162 0.6562 0.0846 x4
S: 0.4889 0.6358 0.8423 x4
N: 0.1017 0.0545 0.3983 x4
N: 0.2616 0.0018 0.1753 x4
N: 0.2860 0.5996 0.4557 x4

The 10 most intense peaks (10 to 90 degrees two-theta), in order of falling intensity:
16.97°, d = 5.223 Å, intensity 100, (1 1 -1)
19.53°, d = 4.546 Å, intensity 96, (0 2 2)
29.95°, d = 2.984 Å, intensity 89, (1 3 -3)
34.31°, d = 2.614 Å, intensity 45, (2 2 -2)
37.72°, d = 2.385 Å, intensity 40, (1 5 -1)
32.17°, d = 2.782 Å, intensity 35, (1 1 3)
14.05°, d = 6.301 Å, intensity 35, (0 0 2)
21.35°, d = 4.161 Å, intensity 29, (1 1 1)
24.40°, d = 3.648 Å, intensity 28, (1 2 1)
29.15°, d = 3.064 Å, intensity 27, (0 1 4)

---

9.
# Ta4Cd2CN
Theoretical powder X-ray diffraction pattern, copper Kα. Input: a cell relaxed with GGA-PBE.
Lines closer than 0.1° are merged.

Structure:
Cell lengths 3.1433, 3.1433, 14.5384 Å; angles 90.00, 90.00, 120.00 degrees
Space group P-3m1 (No. 164)
Asymmetric unit:
Ta: 0.3333 0.6667 0.0821 x2
Ta: 0.3333 0.6667 0.4192 x2
Cd: 0.3333 0.6667 0.7489 x2
C: 0.0000 0.0000 0.0000 x1
N: 0.0000 0.0000 0.5000 x1

The 10 most intense peaks (10 to 90 degrees two-theta), in order of falling intensity:
37.91°, d = 2.373 Å, intensity 100, (1 0 3)
37.10°, d = 2.423 Å, intensity 22, (0 0 6)
32.90°, d = 2.722 Å, intensity 22, (1 0 0)
71.56°, d = 1.319 Å, intensity 20, (1 1 6)
58.75°, d = 1.572 Å, intensity 19, (1 1 0)
67.41°, d = 1.389 Å, intensity 18, (0 1 9)
50.42°, d = 1.810 Å, intensity 16, (1 0 6)
72.08°, d = 1.310 Å, intensity 15, (2 0 3)
12.18°, d = 7.269 Å, intensity 11, (0 0 2)
81.03°, d = 1.187 Å, intensity 4, (0 2 6)

---

10.
# Y8Cd2C3N3
Theoretical powder X-ray diffraction pattern, copper Kα. Input: a cell relaxed with GGA-PBE.
Lines closer than 0.1° are merged.

Structure:
Cell lengths 3.5263, 3.5263, 27.9430 Å; angles 90.00, 90.00, 120.00 degrees
Space group P-3m1 (No. 164)
Asymmetric unit:
Y: 0.0000 0.0000 0.1474 x2
Y: 0.0000 0.0000 0.3455 x2
Y: 0.3333 0.6667 0.5533 x2
Y: 0.3333 0.6667 0.9511 x2
Cd: 0.3333 0.6667 0.7589 x2
C: 0.0000 0.0000 0.5000 x1
C: 0.3333 0.6667 0.3883 x2
N: 0.0000 0.0000 0.0000 x1
N: 0.3333 0.6667 0.1035 x2

The 10 most intense peaks (10 to 90 degrees two-theta), in order of falling intensity:
32.00°, d = 2.797 Å, intensity 100, (0 0 10)
33.44°, d = 2.680 Å, intensity 85, (0 1 5)
35.14°, d = 2.554 Å, intensity 73, (1 0 6)
51.86°, d = 1.763 Å, intensity 45, (1 1 0)
62.26°, d = 1.491 Å, intensity 45, (1 1 10)
29.42°, d = 3.036 Å, intensity 32, (0 1 1)
57.99°, d = 1.590 Å, intensity 15, (0 1 15)
54.96°, d = 1.671 Å, intensity 14, (1 0 14)
89.49°, d = 1.095 Å, intensity 13, (1 1 20)
63.12°, d = 1.473 Å, intensity 13, (2 0 5)

---

11.
# Y3CdCN
Theoretical powder X-ray diffraction pattern, copper Kα. Input: a cell relaxed with GGA-PBE.
Lines closer than 0.1° are merged.

Structure:
Cell lengths 3.5367, 3.5367, 22.0829 Å; angles 90.00, 90.00, 120.00 degrees
Space group P-3m1 (No. 164)
Asymmetric unit:
Y: 0.0000 0.0000 0.0000 x1
Y: 0.0000 0.0000 0.5000 x1
Y: 0.3333 0.6667 0.1230 x2
Y: 0.3333 0.6667 0.3737 x2
Cd: 0.0000 0.0000 0.2417 x2
C: 0.3333 0.6667 0.5721 x2
N: 0.3333 0.6667 0.9338 x2

The 10 most intense peaks (10 to 90 degrees two-theta), in order of falling intensity:
33.46°, d = 2.678 Å, intensity 100, (0 1 4)
51.69°, d = 1.768 Å, intensity 27, (1 1 0)
32.43°, d = 2.760 Å, intensity 26, (0 0 8)
62.36°, d = 1.489 Å, intensity 23, (1 1 8)
29.44°, d = 3.034 Å, intensity 17, (0 1 1)
35.67°, d = 2.517 Å, intensity 16, (1 0 5)
58.51°, d = 1.577 Å, intensity 16, (0 1 12)
62.99°, d = 1.476 Å, intensity 15, (2 0 4)
85.75°, d = 1.133 Å, intensity 13, (1 2 4)
31.64°, d = 2.828 Å, intensity 12, (1 0 3)